(1)
Structure and theoretical X-ray powder pattern of LiPaGaPb (a structure optimized by DFT (GGA-PBE); Cu Kα (λ = 1.5418 Å)).
No peak broadening, texture or thermal motion is included.

Most intense lines, 10° ≤ 2θ ≤ 80°, sorted by position:
2theta, d/Å, Rel. int.
21.4, 4.143, 58
24.8, 3.588, 1
35.4, 2.537, 100
41.7, 2.164, 33
50.9, 1.794, 18
55.8, 1.646, 14
63.5, 1.465, 38
67.9, 1.381, 11
74.8, 1.269, 12
78.9, 1.213, 11

Structure:
a = 7.1762 Å, b = 7.1762 Å, c = 7.1762 Å
α = 90.00°, β = 90.00°, γ = 90.00°
Fractional coordinates of all 16 atoms:
Li: 0.0000 0.0000 0.0000
Li: 0.0000 0.5000 0.5000
Li: 0.5000 0.0000 0.5000
Li: 0.5000 0.5000 0.0000
Pa: 0.0000 0.0000 0.5000
Pa: 0.0000 0.5000 0.0000
Pa: 0.5000 0.0000 0.0000
Pa: 0.5000 0.5000 0.5000
Ga: 0.2500 0.2500 0.7500
Ga: 0.2500 0.7500 0.2500
Ga: 0.7500 0.2500 0.2500
Ga: 0.7500 0.7500 0.7500
Pb: 0.2500 0.2500 0.2500
Pb: 0.2500 0.7500 0.7500
Pb: 0.7500 0.2500 0.7500
Pb: 0.7500 0.7500 0.2500

(2)
Structure and theoretical X-ray powder pattern of LiGaPb (a structure optimized by DFT (GGA-PBE); Cu Kα (λ = 1.5418 Å)).
No peak broadening, texture or thermal motion is included.

Most intense lines, 10° ≤ 2θ ≤ 80°, sorted by position:
2theta, d/Å, Rel. int.
17.1, 5.188, 22
20.8, 4.273, 100
21.3, 4.176, 44
33.8, 2.650, 65
34.6, 2.594, 64
34.7, 2.585, 61
36.1, 2.487, 37
37.0, 2.429, 70
50.2, 1.816, 23
51.5, 1.775, 21
51.8, 1.766, 19
65.6, 1.424, 24

Structure:
a = 8.1650 Å, b = 8.3520 Å, c = 4.9752 Å
α = 90.00°, β = 125.82°, γ = 90.00°
Fractional coordinates of all 12 atoms:
Li: 0.0000 0.0932 0.0000
Li: 0.0000 0.9068 0.5000
Li: 0.5000 0.4068 0.5000
Li: 0.5000 0.5932 0.0000
Ga: 0.0063 0.4217 0.0068
Ga: 0.0063 0.5783 0.5068
Ga: 0.5063 0.0783 0.5068
Ga: 0.5063 0.9217 0.0068
Pb: 0.2529 0.2479 0.7533
Pb: 0.2529 0.7521 0.2533
Pb: 0.7529 0.2521 0.2533
Pb: 0.7529 0.7479 0.7533

(3)
Structure and theoretical X-ray powder pattern of Li4GaPb10 (a structure optimized by DFT (GGA-PBE); Cu Kα (λ = 1.5418 Å)).
No peak broadening, texture or thermal motion is included.

Most intense lines, 10° ≤ 2θ ≤ 80°, sorted by position:
2theta, d/Å, Rel. int.
22.2, 3.998, 1
25.7, 3.462, 100
36.7, 2.448, 98
45.4, 1.999, 30
52.9, 1.731, 17
59.7, 1.548, 41
66.1, 1.413, 36
78.1, 1.224, 11

Structure:
a = 8.4791 Å, b = 8.4791 Å, c = 8.4791 Å
α = 99.61°, β = 99.61°, γ = 131.77°
Fractional coordinates of all 15 atoms:
Li: 0.1023 0.2994 0.4018
Li: 0.2994 0.8977 0.1971
Li: 0.7006 0.1023 0.8029
Li: 0.8977 0.7006 0.5982
Ga: 0.5000 0.5000 0.0000
Pb: 0.0445 0.1490 0.6991
Pb: 0.1490 0.4500 0.1045
Pb: 0.2500 0.7500 0.5000
Pb: 0.3454 0.0445 0.8955
Pb: 0.4500 0.3454 0.3009
Pb: 0.5500 0.6546 0.6991
Pb: 0.6546 0.9555 0.1045
Pb: 0.7500 0.2500 0.5000
Pb: 0.8510 0.5500 0.8955
Pb: 0.9555 0.8510 0.3009